(1)
Structure and theoretical powder diffractogram of Tl2Sn3S8 (the PBE geometry in Alexandria; Cu Kα, 1.54184 Å).

Crystal structure
```
data_Tl2Sn3S8
_cell_length_a 13.912
_cell_length_b 7.574
_cell_length_c 6.609
_cell_angle_alpha 90.00
_cell_angle_beta 102.94
_cell_angle_gamma 90.00
_space_group_name_H-M_alt 'C 1 2/m 1'
_space_group_IT_number 12
loop_
_space_group_symop_operation_xyz
'x,y,z'
'-x,-y,-z'
'-x,y,-z'
'x,-y,z'
'x+1/2,y+1/2,z'
'-x+1/2,-y+1/2,-z'
'-x+1/2,y+1/2,-z'
'x+1/2,-y+1/2,z'
loop_
_atom_site_label
_atom_site_fract_x
_atom_site_fract_y
_atom_site_fract_z
_atom_site_occupancy
Tl1 0.235 0.000 0.153 1
Sn1 0.000 0.248 0.500 1
Sn2 0.000 0.500 0.000 1
S1 0.105 0.260 0.880 1
S2 0.106 0.500 0.384 1
S3 0.116 0.000 0.442 1
```

Most intense lines, 15 to 90 degrees two-theta, low angle first:
- 20.27°, rel. 1000, hkl 1 1 1
- 24.39°, rel. 856, hkl 3 1 -1
- 26.97°, rel. 736, hkl 2 2 0
- 35.96°, rel. 653, hkl 4 2 -1
- 40.48°, rel. 612, hkl 4 2 1
- 47.93°, rel. 557, hkl 2 2 -3

(2)
Structure and theoretical powder diffractogram of Tl3SnS4 (the PBE geometry in Alexandria; Cu Kα, 1.54184 Å).

Crystal structure
```
data_Tl3SnS4
_cell_length_a 9.408
_cell_length_b 10.805
_cell_length_c 9.539
_cell_angle_alpha 90.00
_cell_angle_beta 90.00
_cell_angle_gamma 90.00
_space_group_name_H-M_alt 'P n m a'
_space_group_IT_number 62
loop_
_space_group_symop_operation_xyz
'x,y,z'
'-x,-y,-z'
'-x+1/2,-y,z+1/2'
'x+1/2,y,-z+1/2'
'x+1/2,-y+1/2,-z+1/2'
'-x+1/2,y+1/2,z+1/2'
'-x,y+1/2,-z'
'x,-y+1/2,z'
loop_
_atom_site_label
_atom_site_fract_x
_atom_site_fract_y
_atom_site_fract_z
_atom_site_occupancy
Tl1 0.064 0.250 0.114 1
Tl2 0.122 0.569 0.316 1
Sn1 0.190 0.250 0.530 1
S1 0.044 0.750 0.571 1
S2 0.148 0.250 0.782 1
S3 0.168 0.570 0.980 1
```

Most intense lines, 15 to 90 degrees two-theta, low angle first:
- 21.07°, rel. 1000, hkl 2 0 1
- 22.46°, rel. 610, hkl 1 1 2
- 26.45°, rel. 586, hkl 0 3 1
- 26.67°, rel. 431, hkl 1 2 2
- 31.28°, rel. 961, hkl 2 3 0
- 34.08°, rel. 417, hkl 1 2 3

(3)
Structure and theoretical powder diffractogram of U3Tl3SnS8 (the PBE geometry in Alexandria; Cu Kα, 1.54184 Å).

Crystal structure
```
data_U3Tl3SnS8
_cell_length_a 8.1620
_cell_length_b 8.1620
_cell_length_c 22.2862
_cell_angle_alpha 90.00
_cell_angle_beta 90.00
_cell_angle_gamma 120.00
_space_group_name_H-M_alt 'R -3 m'
_space_group_IT_number 166
_space_group_name_Hall '-R 3 2"'
loop_
_atom_site_label
_atom_site_fract_x
_atom_site_fract_y
_atom_site_fract_z
_atom_site_occupancy
U1 0.0000 0.5000 0.0000 1
Tl1 0.0000 0.5000 0.5000 1
Sn1 0.0000 0.0000 0.0000 1
S1 0.0000 0.0000 0.2681 1
S2 0.0170 0.5085 0.2687 1
```

Most intense lines, 15 to 90 degrees two-theta, low angle first:
- 23.96°, rel. 299, hkl 0 0 6
- 26.46°, rel. 645, hkl 2 0 2
- 29.94°, rel. 1000, hkl 0 2 4
- 41.26°, rel. 382, hkl 2 0 8
- 44.40°, rel. 350, hkl 2 2 0
- 51.07°, rel. 258, hkl 2 2 6

(4)
Structure and theoretical powder diffractogram of Tm3SnS2 (the PBE geometry in Alexandria; Cu Kα, 1.54184 Å).

Crystal structure
```
data_Tm3SnS2
_cell_length_a 7.059
_cell_length_b 9.643
_cell_length_c 11.426
_cell_angle_alpha 90.00
_cell_angle_beta 90.00
_cell_angle_gamma 90.00
_space_group_name_H-M_alt 'I m m a'
_space_group_IT_number 74
_space_group_name_Hall '-I 2b 2'
loop_
_atom_site_label
_atom_site_fract_x
_atom_site_fract_y
_atom_site_fract_z
_atom_site_occupancy
Tm1 0.247 0.000 0.000 1
Tm2 0.250 0.250 0.250 1
Sn1 0.000 0.250 0.485 1
S1 0.000 0.055 0.164 1
```

Most intense lines, 15 to 90 degrees two-theta, low angle first:
- 15.51°, rel. 276, hkl 0 0 2
- 24.15°, rel. 402, hkl 0 2 2
- 31.34°, rel. 360, hkl 0 0 4
- 35.21°, rel. 1000, hkl 2 2 2
- 37.30°, rel. 206, hkl 0 4 0
- 40.62°, rel. 243, hkl 2 0 4

(5)
Structure and theoretical powder diffractogram of TmSnS (the PBE geometry in Alexandria; Cu Kα, 1.54184 Å).

Crystal structure
```
data_TmSnS
_cell_length_a 4.317
_cell_length_b 4.798
_cell_length_c 7.888
_cell_angle_alpha 90.00
_cell_angle_beta 90.00
_cell_angle_gamma 90.00
_space_group_name_H-M_alt 'P m m n'
_space_group_IT_number 59
loop_
_space_group_symop_operation_xyz
'x,y,z'
'-x,-y,-z'
'-x+1/2,-y+1/2,z'
'x+1/2,y+1/2,-z'
'x+1/2,-y,-z'
'-x+1/2,y,z'
'-x,y+1/2,-z'
'x,-y+1/2,z'
loop_
_atom_site_label
_atom_site_fract_x
_atom_site_fract_y
_atom_site_fract_z
_atom_site_occupancy
Tm1 0.250 0.250 0.166 1
Sn1 0.250 0.750 0.501 1
S1 0.250 0.750 0.029 1
```

Most intense lines, 15 to 90 degrees two-theta, low angle first:
- 21.68°, rel. 639, hkl 0 1 1
- 23.49°, rel. 613, hkl 1 0 1
- 30.06°, rel. 866, hkl 1 1 1
- 34.10°, rel. 357, hkl 0 0 3
- 36.08°, rel. 1000, hkl 1 1 2
- 37.49°, rel. 422, hkl 0 2 0

(6)
Structure and theoretical powder diffractogram of Tm6SnS4 (the PBE geometry in Alexandria; Cu Kα, 1.54184 Å).

Crystal structure
```
data_Tm6SnS4
_cell_length_a 3.871
_cell_length_b 12.844
_cell_length_c 19.749
_cell_angle_alpha 90.00
_cell_angle_beta 90.00
_cell_angle_gamma 90.00
_space_group_name_H-M_alt 'C m c m'
_space_group_IT_number 63
_space_group_name_Hall '-C 2c 2'
loop_
_atom_site_label
_atom_site_fract_x
_atom_site_fract_y
_atom_site_fract_z
_atom_site_occupancy
Tm1 0.000 0.000 0.000 1
Tm2 0.000 0.147 0.250 1
Tm3 0.000 0.271 0.586 1
Tm4 0.000 0.458 0.159 1
Sn1 0.000 0.169 0.750 1
S1 0.000 0.092 0.121 1
S2 0.000 0.361 0.038 1
```

Most intense lines, 15 to 90 degrees two-theta, low angle first:
- 30.15°, rel. 628, hkl 1 1 4
- 30.52°, rel. 1000, hkl 0 2 6
- 31.48°, rel. 559, hkl 1 3 1
- 32.47°, rel. 957, hkl 1 3 2
- 46.22°, rel. 347, hkl 0 6 4
- 57.02°, rel. 421, hkl 2 2 6

(7)
Structure and theoretical powder diffractogram of U2Sn2S7 (the PBE geometry in Alexandria; Cu Kα, 1.54184 Å).

Crystal structure
```
data_U2Sn2S7
_cell_length_a 3.780
_cell_length_b 14.630
_cell_length_c 8.745
_cell_angle_alpha 90.00
_cell_angle_beta 90.00
_cell_angle_gamma 90.00
_space_group_name_H-M_alt 'I m m 2'
_space_group_IT_number 44
loop_
_space_group_symop_operation_xyz
'x,y,z'
'-x,-y,z'
'-x,y,z'
'x,-y,z'
'x+1/2,y+1/2,z+1/2'
'-x+1/2,-y+1/2,z+1/2'
'-x+1/2,y+1/2,z+1/2'
'x+1/2,-y+1/2,z+1/2'
loop_
_atom_site_label
_atom_site_fract_x
_atom_site_fract_y
_atom_site_fract_z
_atom_site_occupancy
U1 0.000 0.239 0.000 1
Sn1 0.000 0.000 0.754 1
Sn2 0.000 0.500 0.762 1
S1 0.000 0.000 0.055 1
S2 0.000 0.133 0.489 1
S3 0.000 0.318 0.697 1
S4 0.000 0.348 0.313 1
```

Most intense lines, 15 to 90 degrees two-theta, low angle first:
- 23.71°, rel. 1000, hkl 0 2 2
- 24.34°, rel. 424, hkl 0 4 0
- 25.68°, rel. 424, hkl 1 0 1
- 28.47°, rel. 620, hkl 1 2 1
- 35.67°, rel. 749, hkl 1 4 1
- 41.00°, rel. 430, hkl 1 2 3

(8)
Structure and theoretical powder diffractogram of VSnS (the PBE geometry in Alexandria; Cu Kα, 1.54184 Å).

Crystal structure
```
data_VSnS
_cell_length_a 3.1922
_cell_length_b 3.1922
_cell_length_c 6.4894
_cell_angle_alpha 90.00
_cell_angle_beta 90.00
_cell_angle_gamma 120.00
_space_group_name_H-M_alt 'P 3 m 1'
_space_group_IT_number 156
loop_
_space_group_symop_operation_xyz
'x,y,z'
'-y,x-y,z'
'-x+y,-x,z'
'-y,-x,z'
'-x+y,y,z'
'x,x-y,z'
loop_
_atom_site_label
_atom_site_fract_x
_atom_site_fract_y
_atom_site_fract_z
_atom_site_occupancy
V1 0.0000 0.0000 0.0000 1
Sn1 0.3333 0.6667 0.6496 1
S1 0.6667 0.3333 0.2116 1
```

Most intense lines, 15 to 90 degrees two-theta, low angle first:
- 27.49°, rel. 221, hkl 0 0 2
- 32.38°, rel. 162, hkl 1 0 0
- 35.29°, rel. 1000, hkl 1 0 1
- 42.98°, rel. 430, hkl 0 1 2
- 53.81°, rel. 181, hkl 1 0 3
- 57.76°, rel. 193, hkl 1 1 0

(9)
Structure and theoretical powder diffractogram of V4SnS8 (the PBE geometry in Alexandria; Cu Kα, 1.54184 Å).

Crystal structure
```
data_V4SnS8
_cell_length_a 9.850
_cell_length_b 9.850
_cell_length_c 9.850
_cell_angle_alpha 90.00
_cell_angle_beta 90.00
_cell_angle_gamma 90.00
_space_group_name_H-M_alt 'F -4 3 m'
_space_group_IT_number 216
_space_group_name_Hall 'F -4 2 3'
loop_
_atom_site_label
_atom_site_fract_x
_atom_site_fract_y
_atom_site_fract_z
_atom_site_occupancy
V1 0.102 0.102 0.398 1
Sn1 0.000 0.000 0.000 1
S1 0.127 0.127 0.627 1
S2 0.142 0.142 0.142 1
```

Most intense lines, 15 to 90 degrees two-theta, low angle first:
- 18.01°, rel. 596, hkl 2 0 0
- 25.58°, rel. 507, hkl 2 2 0
- 30.09°, rel. 1000, hkl 3 1 1
- 36.49°, rel. 416, hkl 4 0 0
- 47.99°, rel. 751, hkl 5 1 1
- 52.56°, rel. 775, hkl 4 4 0

(10)
Structure and theoretical powder diffractogram of YSn3S (the PBE geometry in Alexandria; Cu Kα, 1.54184 Å).

Crystal structure
```
data_YSn3S
_cell_length_a 5.249
_cell_length_b 5.249
_cell_length_c 5.249
_cell_angle_alpha 90.00
_cell_angle_beta 90.00
_cell_angle_gamma 90.00
_space_group_name_H-M_alt 'P m -3 m'
_space_group_IT_number 221
_space_group_name_Hall '-P 4 2 3'
loop_
_atom_site_label
_atom_site_fract_x
_atom_site_fract_y
_atom_site_fract_z
_atom_site_occupancy
Y1 0.000 0.000 0.000 1
Sn1 0.000 0.500 0.500 1
S1 0.500 0.500 0.500 1
```

Most intense lines, 15 to 90 degrees two-theta, low angle first:
- 29.48°, rel. 1000, hkl 1 1 1
- 34.17°, rel. 686, hkl 2 0 0
- 49.09°, rel. 495, hkl 2 2 0
- 58.31°, rel. 458, hkl 3 1 1
- 79.62°, rel. 194, hkl 3 3 1
- 82.12°, rel. 234, hkl 4 2 0

(11)
Structure and theoretical powder diffractogram of Y7SnS5 (the PBE geometry in Alexandria; Cu Kα, 1.54184 Å).

Crystal structure
```
data_Y7SnS5
_cell_length_a 3.963
_cell_length_b 13.010
_cell_length_c 23.453
_cell_angle_alpha 90.00
_cell_angle_beta 90.00
_cell_angle_gamma 90.00
_space_group_name_H-M_alt 'C m c m'
_space_group_IT_number 63
_space_group_name_Hall '-C 2c 2'
loop_
_atom_site_label
_atom_site_fract_x
_atom_site_fract_y
_atom_site_fract_z
_atom_site_occupancy
Y1 0.000 0.018 0.250 1
Y2 0.000 0.137 0.536 1
Y3 0.000 0.324 0.173 1
Y4 0.000 0.406 0.612 1
Sn1 0.000 0.302 0.750 1
S1 0.000 0.044 0.640 1
S2 0.000 0.226 0.070 1
S3 0.000 0.500 0.000 1
```

Most intense lines, 15 to 90 degrees two-theta, low angle first:
- 30.00°, rel. 778, hkl 0 2 7
- 30.31°, rel. 273, hkl 1 1 5
- 31.52°, rel. 1000, hkl 1 3 2
- 32.68°, rel. 571, hkl 1 3 3
- 45.79°, rel. 303, hkl 2 0 0
- 55.72°, rel. 262, hkl 2 2 7

(12)
Structure and theoretical powder diffractogram of YSn2S4 (the PBE geometry in Alexandria; Cu Kα, 1.54184 Å).

Crystal structure
```
data_YSn2S4
_cell_length_a 3.806
_cell_length_b 13.243
_cell_length_c 13.292
_cell_angle_alpha 90.00
_cell_angle_beta 90.00
_cell_angle_gamma 90.00
_space_group_name_H-M_alt 'C m c m'
_space_group_IT_number 63
_space_group_name_Hall '-C 2c 2'
loop_
_atom_site_label
_atom_site_fract_x
_atom_site_fract_y
_atom_site_fract_z
_atom_site_occupancy
Y1 0.000 0.117 0.250 1
Sn1 0.000 0.369 0.069 1
S1 0.000 0.000 0.000 1
S2 0.000 0.285 0.625 1
S3 0.000 0.470 0.250 1
```

Most intense lines, 15 to 90 degrees two-theta, low angle first:
- 24.17°, rel. 1000, hkl 0 2 3
- 31.76°, rel. 481, hkl 1 3 1
- 33.90°, rel. 575, hkl 1 3 2
- 42.01°, rel. 377, hkl 1 1 5
- 45.94°, rel. 323, hkl 0 6 3
- 46.50°, rel. 296, hkl 1 5 3